Starting from a cell relaxed with PBE, the X-ray diffraction stick pattern of Tb4Er3Tm3 was computed for CuKα.
Kinematic intensities with the Lorentz-polarization factor, no thermal factor.

abc: 3.7023 9.1575 9.1575
angles: 89.98 90.00 90.00
Atoms (fractional coordinates):
Tb1 0.0000 0.0000 0.0000
Tb2 0.0000 0.2586 0.2586
Tb3 0.0000 0.5005 0.7587
Tb4 0.0000 0.7587 0.5005
Er1 0.5000 0.2989 0.9597
Er2 0.5000 0.4598 0.4598
Er3 0.5000 0.9597 0.2989
Tm1 0.0000 0.1288 0.6297
Tm2 0.0000 0.6297 0.1288
Tm3 0.5000 0.7990 0.7990

Largest 10 diffraction maxima, by angle, 2θ from 15° to 90°:
2theta, d_spacing, intensity
27.55, 3.238, 12
30.88, 2.896, 62
31.06, 2.879, 27
32.60, 2.746, 100
35.34, 2.540, 9
47.75, 1.905, 13
49.22, 1.851, 12
56.99, 1.616, 14
59.24, 1.560, 20
59.85, 1.545, 18